# 1
Pu2Cl5: computed powder X-ray diffraction pattern (copper Kα), based on the PBE geometry in Alexandria.

```
data_Pu2Cl5
_chemical_formula_sum 'Pu8 Cl20'
_symmetry_space_group_name_H-M 'C 1 2/c 1'
_symmetry_Int_Tables_number 15
_symmetry_space_group_name_Hall '-C 2yc'
_cell_length_a 15.276
_cell_length_b 6.495
_cell_length_c 7.364
_cell_angle_alpha 90.00
_cell_angle_beta 97.63
_cell_angle_gamma 90.00
loop_
_atom_site_label
_atom_site_type_symbol
_atom_site_fract_x
_atom_site_fract_y
_atom_site_fract_z
Pu1 Pu 0.114 0.226 0.085
Cl1 Cl 0.000 0.072 0.750
Cl2 Cl 0.085 0.381 0.427
Cl3 Cl 0.218 0.079 0.820
```

Peak list (8 most intense, 5° ≤ 2θ ≤ 70°, low angle first)
- 19.70°, 4.507 Å, I = 100, hkl 1 1 1
- 23.50°, 3.785 Å, I = 29, hkl 4 0 0
- 24.31°, 3.662 Å, I = 60, hkl 3 1 -1
- 25.65°, 3.473 Å, I = 23, hkl 2 0 -2
- 36.35°, 2.471 Å, I = 35, hkl 5 1 1
- 36.45°, 2.465 Å, I = 27, hkl 4 2 0
- 40.72°, 2.216 Å, I = 26, hkl 6 0 -2
- 44.29°, 2.045 Å, I = 25, hkl 7 1 -1

# 2
Pu3Cl5: computed powder X-ray diffraction pattern (copper Kα), based on the PBE geometry in Alexandria.

```
data_Pu3Cl5
_chemical_formula_sum 'Pu6 Cl10'
_symmetry_space_group_name_H-M 'P 63/m c m'
_symmetry_Int_Tables_number 193
_symmetry_space_group_name_Hall '-P 6c 2'
_cell_length_a 8.3730
_cell_length_b 8.3730
_cell_length_c 6.4437
_cell_angle_alpha 90.00
_cell_angle_beta 90.00
_cell_angle_gamma 120.00
loop_
_atom_site_label
_atom_site_type_symbol
_atom_site_fract_x
_atom_site_fract_y
_atom_site_fract_z
Pu1 Pu 0.0000 0.3946 0.2500
Cl1 Cl 0.0000 0.2589 0.7500
Cl2 Cl 0.3333 0.6667 0.0000
```

Peak list (8 most intense, 5° ≤ 2θ ≤ 70°, low angle first)
- 12.21°, 7.251 Å, I = 27, hkl 1 0 0
- 21.22°, 4.186 Å, I = 31, hkl 1 1 0
- 25.37°, 3.511 Å, I = 100, hkl 1 1 1
- 27.69°, 3.222 Å, I = 39, hkl 0 0 2
- 35.15°, 2.553 Å, I = 42, hkl 1 1 2
- 35.60°, 2.522 Å, I = 59, hkl 2 1 1
- 37.20°, 2.417 Å, I = 29, hkl 3 0 0
- 47.35°, 1.920 Å, I = 46, hkl 3 1 1